Record 1
The following is a theoretical XRD peak list of PrY2In3Pd3. It was derived from a crystal structure in OQMD, relaxed with PBE, using Cu Kα X-rays.
Neutral-atom scattering factors, no anomalous dispersion.

Largest 12 diffraction maxima, low angle first, 15° ≤ 2θ ≤ 90°:
2theta  d [Å]  Rel. int.
32.4  2.761  98
35.2  2.551  100
35.6  2.522  54
40.6  2.224  43
42.5  2.127  39
45.8  1.980  28
49.2  1.851  9
54.8  1.676  11
59.3  1.557  24
62.8  1.479  23
65.4  1.428  36
77.8  1.227  10

Atomic structure:
```
data_PrY2In3Pd3
_chemical_formula_sum 'Pr1 Y2 In3 Pd3'
_cell_length_a 3.959
_cell_length_b 7.702
_cell_length_c 7.702
_cell_angle_alpha 119.94
_cell_angle_beta 90.00
_cell_angle_gamma 90.00
_symmetry_space_group_name_H-M 'P 1'
_symmetry_Int_Tables_number 1
loop_
_symmetry_equiv_pos_as_xyz
'x,y,z'
loop_
_atom_site_label
_atom_site_fract_x
_atom_site_fract_y
_atom_site_fract_z
_atom_site_occupancy
Pr1 0.000 0.000 0.000 1
Y1 0.000 0.411 0.820 1
Y2 0.000 0.820 0.411 1
In1 0.500 0.155 0.414 1
In2 0.500 0.414 0.155 1
In3 0.500 0.663 0.663 1
Pd1 0.000 0.412 0.412 1
Pd2 0.500 0.078 0.740 1
Pd3 0.500 0.740 0.078 1
```


Record 2
The following is a theoretical XRD peak list of DyHoAg2Se4. It was derived from a crystal structure in OQMD, relaxed with PBE, using Cu Kα X-rays.
Neutral-atom scattering factors, no anomalous dispersion.

Largest 12 diffraction maxima, low angle first, 15° ≤ 2θ ≤ 90°:
2theta  d [Å]  Rel. int.
20.6  4.308  22
24.5  3.631  43
26.4  3.374  31
27.9  3.198  68
33.7  2.657  56
36.3  2.472  100
37.7  2.386  88
45.5  1.994  54
46.2  1.963  48
54.4  1.687  22
61.1  1.516  27
79.7  1.203  22

Atomic structure:
```
data_DyHoAg2Se4
_chemical_formula_sum 'Dy1 Ho1 Ag2 Se4'
_cell_length_a 6.749
_cell_length_b 6.749
_cell_length_c 4.308
_cell_angle_alpha 90.00
_cell_angle_beta 90.00
_cell_angle_gamma 90.02
_symmetry_space_group_name_H-M 'P 1'
_symmetry_Int_Tables_number 1
loop_
_symmetry_equiv_pos_as_xyz
'x,y,z'
loop_
_atom_site_label
_atom_site_fract_x
_atom_site_fract_y
_atom_site_fract_z
_atom_site_occupancy
Dy1 0.000 0.000 0.000 1
Ho1 0.500 0.500 0.592 1
Ag1 0.000 0.500 0.796 1
Ag2 0.500 0.000 0.796 1
Se1 0.202 0.202 0.513 1
Se2 0.298 0.702 0.079 1
Se3 0.702 0.298 0.079 1
Se4 0.798 0.798 0.513 1
```


Record 3
The following is a theoretical XRD peak list of DySb2Pd2. It was derived from a crystal structure in OQMD, relaxed with PBE, using Cu Kα X-rays.
Neutral-atom scattering factors, no anomalous dispersion.

Largest 12 diffraction maxima, low angle first, 15° ≤ 2θ ≤ 90°:
2theta  d [Å]  Rel. int.
28.2  3.167  11
31.4  2.853  48
32.6  2.751  100
40.3  2.239  63
43.4  2.087  28
45.6  1.989  23
51.9  1.761  23
58.3  1.584  22
62.4  1.487  18
68.4  1.372  23
75.3  1.262  10
81.6  1.180  9

Atomic structure:
```
data_DySb2Pd2
_chemical_formula_sum 'Dy2 Sb4 Pd4'
_cell_length_a 4.479
_cell_length_b 4.479
_cell_length_c 11.101
_cell_angle_alpha 90.00
_cell_angle_beta 90.00
_cell_angle_gamma 90.00
_symmetry_space_group_name_H-M 'P 1'
_symmetry_Int_Tables_number 1
loop_
_symmetry_equiv_pos_as_xyz
'x,y,z'
loop_
_atom_site_label
_atom_site_fract_x
_atom_site_fract_y
_atom_site_fract_z
_atom_site_occupancy
Dy1 0.250 0.250 0.224 1
Dy2 0.750 0.750 0.776 1
Sb1 0.250 0.250 0.869 1
Sb2 0.250 0.750 0.500 1
Sb3 0.750 0.250 0.500 1
Sb4 0.750 0.750 0.131 1
Pd1 0.250 0.250 0.640 1
Pd2 0.250 0.750 0.000 1
Pd3 0.750 0.250 0.000 1
Pd4 0.750 0.750 0.360 1
```


Record 4
The following is a theoretical XRD peak list of Zr3Si2Ag2. It was derived from a crystal structure in OQMD, relaxed with PBE, using Cu Kα X-rays.
Neutral-atom scattering factors, no anomalous dispersion.

Largest 12 diffraction maxima, low angle first, 15° ≤ 2θ ≤ 90°:
2theta  d [Å]  Rel. int.
22.4  3.964  5
23.4  3.798  29
29.6  3.019  9
35.4  2.534  7
38.7  2.325  100
45.8  1.983  13
53.5  1.713  4
55.9  1.644  15
70.0  1.344  5
70.1  1.342  24
74.5  1.273  4
83.1  1.162  5

Atomic structure:
```
data_Zr3Si2Ag2
_chemical_formula_sum 'Zr3 Si2 Ag2'
_cell_length_a 8.066
_cell_length_b 8.066
_cell_length_c 8.066
_cell_angle_alpha 33.49
_cell_angle_beta 33.49
_cell_angle_gamma 33.49
_symmetry_space_group_name_H-M 'P 1'
_symmetry_Int_Tables_number 1
loop_
_symmetry_equiv_pos_as_xyz
'x,y,z'
loop_
_atom_site_label
_atom_site_fract_x
_atom_site_fract_y
_atom_site_fract_z
_atom_site_occupancy
Zr1 0.000 0.000 0.000 1
Zr2 0.248 0.248 0.248 1
Zr3 0.496 0.496 0.496 1
Si1 0.123 0.123 0.123 1
Si2 0.621 0.621 0.621 1
Ag1 0.378 0.378 0.378 1
Ag2 0.857 0.857 0.857 1
```


Record 5
The following is a theoretical XRD peak list of CsOsO4. It was derived from a crystal structure in OQMD, relaxed with PBE, using Cu Kα X-rays.
Neutral-atom scattering factors, no anomalous dispersion.

Largest 12 diffraction maxima, low angle first, 15° ≤ 2θ ≤ 90°:
2theta  d [Å]  Rel. int.
25.1  3.551  26
25.2  3.532  100
30.6  2.917  16
31.5  2.842  14
40.0  2.254  15
40.7  2.219  13
44.3  2.046  22
44.5  2.036  7
51.3  1.781  14
51.8  1.766  13
52.4  1.747  10
64.1  1.453  7

Atomic structure:
```
data_CsOsO4
_chemical_formula_sum 'Cs4 Os4 O16'
_cell_length_a 5.684
_cell_length_b 5.835
_cell_length_c 14.203
_cell_angle_alpha 90.00
_cell_angle_beta 90.00
_cell_angle_gamma 90.00
_symmetry_space_group_name_H-M 'P 1'
_symmetry_Int_Tables_number 1
loop_
_symmetry_equiv_pos_as_xyz
'x,y,z'
loop_
_atom_site_label
_atom_site_fract_x
_atom_site_fract_y
_atom_site_fract_z
_atom_site_occupancy
Cs1 0.026 0.250 0.125 1
Cs2 0.474 0.750 0.625 1
Cs3 0.526 0.250 0.375 1
Cs4 0.974 0.750 0.875 1
Os1 0.037 0.750 0.379 1
Os2 0.463 0.250 0.879 1
Os3 0.537 0.750 0.121 1
Os4 0.963 0.250 0.621 1
O1 0.008 0.002 0.690 1
O2 0.008 0.498 0.690 1
O3 0.161 0.250 0.526 1
O4 0.168 0.250 0.919 1
O5 0.332 0.750 0.419 1
O6 0.339 0.750 0.026 1
O7 0.492 0.502 0.190 1
O8 0.492 0.998 0.190 1
O9 0.508 0.002 0.810 1
O10 0.508 0.498 0.810 1
O11 0.661 0.250 0.974 1
O12 0.668 0.250 0.581 1
O13 0.832 0.750 0.081 1
O14 0.839 0.750 0.474 1
O15 0.992 0.502 0.310 1
O16 0.992 0.998 0.310 1
```


Record 6
The following is a theoretical XRD peak list of Sc2Ga3Mo4C3. It was derived from a crystal structure in OQMD, relaxed with PBE, using Cu Kα X-rays.
Neutral-atom scattering factors, no anomalous dispersion.

Largest 12 diffraction maxima, low angle first, 15° ≤ 2θ ≤ 90°:
2theta  d [Å]  Rel. int.
19.0  4.667  41
19.5  4.551  23
33.0  2.718  16
33.1  2.709  32
38.7  2.327  100
38.8  2.321  99
39.1  2.304  93
40.0  2.252  20
40.4  2.232  66
41.4  2.180  23
58.9  1.567  23
73.6  1.287  15

Atomic structure:
```
data_Sc2Ga3Mo4C3
_chemical_formula_sum 'Sc4 Ga6 Mo8 C6'
_cell_length_a 5.418
_cell_length_b 5.418
_cell_length_c 13.792
_cell_angle_alpha 101.94
_cell_angle_beta 101.94
_cell_angle_gamma 60.22
_symmetry_space_group_name_H-M 'P 1'
_symmetry_Int_Tables_number 1
loop_
_symmetry_equiv_pos_as_xyz
'x,y,z'
loop_
_atom_site_label
_atom_site_fract_x
_atom_site_fract_y
_atom_site_fract_z
_atom_site_occupancy
Sc1 0.039 0.876 0.609 1
Sc2 0.124 0.961 0.891 1
Sc3 0.876 0.039 0.109 1
Sc4 0.961 0.124 0.391 1
Ga1 0.087 0.373 0.751 1
Ga2 0.373 0.087 0.251 1
Ga3 0.456 0.544 0.250 1
Ga4 0.544 0.456 0.750 1
Ga5 0.627 0.913 0.749 1
Ga6 0.913 0.627 0.249 1
Mo1 0.195 0.352 0.080 1
Mo2 0.296 0.481 0.420 1
Mo3 0.352 0.195 0.580 1
Mo4 0.481 0.296 0.920 1
Mo5 0.519 0.704 0.080 1
Mo6 0.648 0.805 0.420 1
Mo7 0.704 0.519 0.580 1
Mo8 0.805 0.648 0.920 1
C1 0.000 0.500 0.500 1
C2 0.167 0.666 0.000 1
C3 0.334 0.833 0.500 1
C4 0.500 0.000 0.000 1
C5 0.666 0.167 0.500 1
C6 0.833 0.334 0.000 1
```